Record 1
For Cs2Sr2OsO6, DFT lattice parameters and positions (PBE) gives the computed X-ray diffraction stick pattern in this record (Cu Kα (weighted mean of Kα1 and Kα2)).

Largest 6 diffraction maxima, sorted by position, 2θ from 5° to 70°:
hkl 1 1 0, 17.04 deg, I = 68
hkl 0 0 2, 25.87 deg, I = 66
hkl 2 0 0, 29.80 deg, I = 41
hkl 1 3 -1, 30.73 deg, I = 75
hkl 1 3 1, 33.94 deg, I = 100
hkl 2 0 -2, 34.16 deg, I = 46

```
data_Cs2Sr2OsO6
_chemical_formula_sum 'Cs4 Sr4 Os2 O12'
_cell_length_a 6.210
_cell_length_b 10.486
_cell_length_c 7.135
_cell_angle_alpha 90.00
_cell_angle_beta 105.10
_cell_angle_gamma 90.00
_space_group_name_H-M_alt 'C 1 2/m 1'
_space_group_IT_number 12
_space_group_name_Hall '-C 2y'
loop_
_atom_site_label
_atom_site_type_symbol
_atom_site_fract_x
_atom_site_fract_y
_atom_site_fract_z
Cs1 Cs 0.000 0.167 0.000
Sr1 Sr 0.000 0.336 0.500
Os1 Os 0.000 0.000 0.500
O1 O 0.182 0.136 0.658
O2 O 0.212 0.000 0.335
```


Record 2
For CsMg6Cr, DFT lattice parameters and positions (PBE) gives the computed X-ray diffraction stick pattern in this record (Cu Kα (weighted mean of Kα1 and Kα2)).

Largest 6 diffraction maxima, sorted by position, 2θ from 5° to 70°:
hkl 0 0 2, 17.34 deg, I = 20
hkl 1 1 1, 23.20 deg, I = 21
hkl 0 2 2, 26.75 deg, I = 16
hkl 1 2 2, 32.98 deg, I = 100
hkl 0 0 4, 35.08 deg, I = 21
hkl 2 0 0, 38.42 deg, I = 17

```
data_CsMg6Cr
_chemical_formula_sum 'Cs2 Mg12 Cr2'
_cell_length_a 4.686
_cell_length_b 8.784
_cell_length_c 10.231
_cell_angle_alpha 90.00
_cell_angle_beta 90.00
_cell_angle_gamma 90.00
_space_group_name_H-M_alt 'A m m 2'
_space_group_IT_number 38
_space_group_name_Hall 'A 2 -2'
loop_
_atom_site_label
_atom_site_type_symbol
_atom_site_fract_x
_atom_site_fract_y
_atom_site_fract_z
Cs1 Cs 0.000 0.000 0.000
Mg1 Mg 0.000 0.250 0.251
Mg2 Mg 0.500 0.000 0.273
Mg3 Mg 0.500 0.000 0.725
Mg4 Mg 0.500 0.206 0.498
Cr1 Cr 0.000 0.000 0.500
```


Record 3
For In5Ga3Hg3, DFT lattice parameters and positions (PBE) gives the computed X-ray diffraction stick pattern in this record (Cu Kα (weighted mean of Kα1 and Kα2)).

Largest 6 diffraction maxima, sorted by position, 2θ from 5° to 70°:
hkl 2 1 0, 26.56 deg, I = 39
hkl 0 0 1, 28.82 deg, I = 47
hkl 3 0 0, 30.19 deg, I = 90
hkl 3 1 0, 36.48 deg, I = 85
hkl 2 1 1, 39.59 deg, I = 57
hkl 3 0 1, 42.23 deg, I = 100

```
data_In5Ga3Hg3
_chemical_formula_sum 'In5 Ga3 Hg3'
_cell_length_a 10.2532
_cell_length_b 10.2532
_cell_length_c 3.0976
_cell_angle_alpha 90.00
_cell_angle_beta 90.00
_cell_angle_gamma 120.00
_space_group_name_H-M_alt 'P -6 2 m'
_space_group_IT_number 189
_space_group_name_Hall 'P -6 -2'
loop_
_atom_site_label
_atom_site_type_symbol
_atom_site_fract_x
_atom_site_fract_y
_atom_site_fract_z
In1 In 0.0000 0.3112 0.0000
In2 In 0.3333 0.6667 0.0000
Ga1 Ga 0.0000 0.8411 0.5000
Hg1 Hg 0.0000 0.6005 0.0000
```


Record 4
For TePdBr3, DFT lattice parameters and positions (PBE) gives the computed X-ray diffraction stick pattern in this record (Cu Kα (weighted mean of Kα1 and Kα2)).

Largest 6 diffraction maxima, sorted by position, 2θ from 5° to 70°:
hkl 0 1 0, 13.43 deg, I = 61
hkl 0 1 -2, 17.42 deg, I = 56
hkl 0 0 3, 20.32 deg, I = 80
hkl -1 1 1, 25.80 deg, I = 80
hkl 0 1 -4, 28.32 deg, I = 100
hkl 1 1 1, 33.39 deg, I = 84

```
data_TePdBr3
_chemical_formula_sum 'Te2 Pd2 Br6'
_cell_length_a 3.715
_cell_length_b 6.938
_cell_length_c 13.313
_cell_angle_alpha 98.44
_cell_angle_beta 92.79
_cell_angle_gamma 105.48
_space_group_name_H-M_alt 'P -1'
_space_group_IT_number 2
_space_group_name_Hall '-P 1'
loop_
_atom_site_label
_atom_site_type_symbol
_atom_site_fract_x
_atom_site_fract_y
_atom_site_fract_z
Te1 Te 0.129 0.205 0.036
Pd1 Pd 0.282 0.471 0.662
Br1 Br 0.085 0.279 0.285
Br2 Br 0.235 0.302 0.855
Br3 Br 0.348 0.765 0.407
```


Record 5
For B2C, DFT lattice parameters and positions (PBE) gives the computed X-ray diffraction stick pattern in this record (Cu Kα (weighted mean of Kα1 and Kα2)).

Largest 6 diffraction maxima, sorted by position, 2θ from 5° to 70°:
hkl 2 0 0, 11.65 deg, I = 100
hkl 4 0 0, 23.42 deg, I = 25
hkl 1 1 -1, 38.41 deg, I = 17
hkl 3 1 -1, 42.06 deg, I = 11
hkl 4 0 2, 44.05 deg, I = 8
hkl 8 0 0, 47.90 deg, I = 7

```
data_B2C
_chemical_formula_sum 'B16 C8'
_cell_length_a 15.191
_cell_length_b 2.712
_cell_length_c 4.893
_cell_angle_alpha 90.00
_cell_angle_beta 90.07
_cell_angle_gamma 90.00
_space_group_name_H-M_alt 'C 1 m 1'
_space_group_IT_number 8
_space_group_name_Hall 'C -2y'
loop_
_atom_site_label
_atom_site_type_symbol
_atom_site_fract_x
_atom_site_fract_y
_atom_site_fract_z
B1 B 0.000 0.000 0.000
B2 B 0.002 0.500 0.456
B3 B 0.230 0.500 0.161
B4 B 0.239 0.000 0.656
B5 B 0.363 0.500 0.459
B6 B 0.378 0.500 0.835
B7 B 0.402 0.000 0.221
B8 B 0.469 0.500 0.650
C1 C 0.010 0.500 0.149
C2 C 0.238 0.000 0.996
C3 C 0.252 0.500 0.490
C4 C 0.340 0.000 0.954
```


Record 6
For Np6GeS12, DFT lattice parameters and positions (PBE) gives the computed X-ray diffraction stick pattern in this record (Cu Kα (weighted mean of Kα1 and Kα2)).

Largest 6 diffraction maxima, sorted by position, 2θ from 5° to 70°:
hkl 2 1 1, 24.25 deg, I = 100
hkl 0 0 3, 24.58 deg, I = 33
hkl 3 -2 2, 28.17 deg, I = 35
hkl 1 4 0, 40.06 deg, I = 34
hkl 2 1 4, 40.47 deg, I = 35
hkl 5 -1 3, 47.56 deg, I = 24

```
data_Np6GeS12
_chemical_formula_sum 'Np18 Ge3 S36'
_cell_length_a 11.9106
_cell_length_b 11.9106
_cell_length_c 10.8663
_cell_angle_alpha 90.00
_cell_angle_beta 90.00
_cell_angle_gamma 120.00
_space_group_name_H-M_alt 'R -3'
_space_group_IT_number 148
_space_group_name_Hall '-R 3'
loop_
_atom_site_label
_atom_site_type_symbol
_atom_site_fract_x
_atom_site_fract_y
_atom_site_fract_z
Np1 Np 0.0520 0.2693 0.1500
Ge1 Ge 0.0000 0.0000 0.5000
S1 S 0.0359 0.2189 0.8959
S2 S 0.0498 0.2102 0.3916
```


Record 7
For Cs2MgSeI6, DFT lattice parameters and positions (PBE) gives the computed X-ray diffraction stick pattern in this record (Cu Kα (weighted mean of Kα1 and Kα2)).

Largest 6 diffraction maxima, sorted by position, 2θ from 5° to 70°:
hkl 2 0 2, 25.55 deg, I = 100
hkl 2 2 0, 29.34 deg, I = 53
hkl 0 0 4, 30.09 deg, I = 25
hkl 4 0 0, 41.97 deg, I = 19
hkl 2 2 4, 42.53 deg, I = 37
hkl 4 2 2, 49.78 deg, I = 31

```
data_Cs2MgSeI6
_chemical_formula_sum 'Cs4 Mg2 Se2 I12'
_cell_length_a 8.611
_cell_length_b 8.611
_cell_length_c 11.878
_cell_angle_alpha 90.00
_cell_angle_beta 90.00
_cell_angle_gamma 90.00
_space_group_name_H-M_alt 'I 4/m m m'
_space_group_IT_number 139
_space_group_name_Hall '-I 4 2'
loop_
_atom_site_label
_atom_site_type_symbol
_atom_site_fract_x
_atom_site_fract_y
_atom_site_fract_z
Cs1 Cs 0.000 0.500 0.250
Mg1 Mg 0.000 0.000 0.000
Se1 Se 0.000 0.000 0.500
I1 I 0.000 0.000 0.266
I2 I 0.236 0.236 0.000
```


Record 8
For La3Pr2Dy, DFT lattice parameters and positions (PBE) gives the computed X-ray diffraction stick pattern in this record (Cu Kα (weighted mean of Kα1 and Kα2)).

Largest 6 diffraction maxima, sorted by position, 2θ from 5° to 70°:
hkl 1 1 1, 28.72 deg, I = 38
hkl 0 0 4, 29.68 deg, I = 34
hkl 1 1 2, 31.53 deg, I = 100
hkl 3 0 0, 49.04 deg, I = 25
hkl 1 1 6, 53.85 deg, I = 22
hkl 3 0 4, 58.37 deg, I = 30

```
data_La3Pr2Dy
_chemical_formula_sum 'La6 Pr4 Dy2'
_cell_length_a 6.4355
_cell_length_b 6.4355
_cell_length_c 12.0385
_cell_angle_alpha 90.00
_cell_angle_beta 90.00
_cell_angle_gamma 120.00
_space_group_name_H-M_alt 'P 63/m c m'
_space_group_IT_number 193
_space_group_name_Hall '-P 6c 2'
loop_
_atom_site_label
_atom_site_type_symbol
_atom_site_fract_x
_atom_site_fract_y
_atom_site_fract_z
La1 La 0.0000 0.3303 0.2500
Pr1 Pr 0.3333 0.6667 0.0000
Dy1 Dy 0.0000 0.0000 0.0000
```


Copy entry 6 word for word.
For Np6GeS12, DFT lattice parameters and positions (PBE) gives the computed X-ray diffraction stick pattern in this record (Cu Kα (weighted mean of Kα1 and Kα2)).

Largest 6 diffraction maxima, sorted by position, 2θ from 5° to 70°:
hkl 2 1 1, 24.25 deg, I = 100
hkl 0 0 3, 24.58 deg, I = 33
hkl 3 -2 2, 28.17 deg, I = 35
hkl 1 4 0, 40.06 deg, I = 34
hkl 2 1 4, 40.47 deg, I = 35
hkl 5 -1 3, 47.56 deg, I = 24

```
data_Np6GeS12
_chemical_formula_sum 'Np18 Ge3 S36'
_cell_length_a 11.9106
_cell_length_b 11.9106
_cell_length_c 10.8663
_cell_angle_alpha 90.00
_cell_angle_beta 90.00
_cell_angle_gamma 120.00
_space_group_name_H-M_alt 'R -3'
_space_group_IT_number 148
_space_group_name_Hall '-R 3'
loop_
_atom_site_label
_atom_site_type_symbol
_atom_site_fract_x
_atom_site_fract_y
_atom_site_fract_z
Np1 Np 0.0520 0.2693 0.1500
Ge1 Ge 0.0000 0.0000 0.5000
S1 S 0.0359 0.2189 0.8959
S2 S 0.0498 0.2102 0.3916
```